This entry pairs a crystal structure of Na3Li4Sn2 with its theoretical powder XRD pattern. Radiation: a wavelength of 1.5418 Å. Structure: the GGA-PBE geometry in Alexandria.
Lines closer than 0.1° are merged.

Cell and atoms:
```
data_Na3Li4Sn2
_cell_length_a 4.9307
_cell_length_b 4.9307
_cell_length_c 9.4554
_cell_angle_alpha 90.00
_cell_angle_beta 90.00
_cell_angle_gamma 120.00
_space_group_name_H-M_alt 'P -3 m 1'
_space_group_IT_number 164
_space_group_name_Hall '-P 3 2"'
loop_
_atom_site_label
_atom_site_fract_x
_atom_site_fract_y
_atom_site_fract_z
Na1 0.0000 0.0000 0.0000
Na2 0.3333 0.6667 0.5799
Li1 0.0000 0.0000 0.2950
Li2 0.3333 0.6667 0.8938
Sn1 0.3333 0.6667 0.2219
```

The 6 most intense peaks (2θ = 15–90°), by angle:
d/Å	I (rel.)	h k l
4.728	27	0 0 2
4.270	26	1 0 0
3.892	100	0 1 1
3.169	43	0 1 2
2.536	64	1 0 3
2.465	53	1 1 0